Ac2HoIn12Ni3: simulated X-ray diffraction stick pattern (Cu Kα X-rays), based on a cell relaxed with PBE.
Kinematic intensities with the Lorentz-polarization factor, no thermal factor.

Main lines, in order of rising 2θ (10° ≤ 2θ ≤ 90°):
| Position (°2θ) | I_rel |
| --- | --- |
| 22.44 | 38.8 |
| 30.57 | 100.0 |
| 31.19 | 78.7 |
| 32.71 | 72.0 |
| 35.88 | 28.2 |
| 38.61 | 55.7 |
| 46.25 | 19.1 |
| 52.86 | 19.2 |
| 57.79 | 26.6 |
| 59.10 | 48.8 |

```
Ac2HoIn12Ni3
1.0
4.6643 2.6930 6.7851
-4.6643 2.6930 6.7851
0.0000 -5.3859 6.7851
Ac Ho In Ni
2 1 12 3
direct
0.0848 0.0848 0.0848
0.9152 0.9152 0.9152
0.5000 0.5000 0.5000
0.0536 0.6566 0.6566
0.2249 0.2249 0.6119
0.2249 0.6119 0.2249
0.3434 0.3434 0.9464
0.3434 0.9464 0.3434
0.3881 0.7751 0.7751
0.6119 0.2249 0.2249
0.6566 0.0536 0.6566
0.6566 0.6566 0.0536
0.7751 0.3881 0.7751
0.7751 0.7751 0.3881
0.9464 0.3434 0.3434
0.0000 0.5000 0.5000
0.5000 0.0000 0.5000
0.5000 0.5000 0.0000
```